1.
Diffraction record for La2Ga2Ru2C. The XRD peak list is simulated, not measured: it uses a DFT-relaxed cell (PBE, Alexandria) and Cu Ka.

Principal peaks in the range 5° ≤ 2θ ≤ 70°, sorted by position:
Position (°2θ)	intensity	h k l
31.5	83	1 1 1
31.5	41	4 0 -2
32.8	37	2 0 1
33.4	100	3 1 -2
37.1	56	3 1 0
37.6	45	2 0 -3
42.1	42	0 2 0
53.5	31	4 0 1
57.7	26	2 2 -3
60.1	24	1 1 3

Atomic structure:
```
data_La2Ga2Ru2C
_cell_length_a 11.5044
_cell_length_b 4.2943
_cell_length_c 7.4577
_cell_angle_alpha 90.00
_cell_angle_beta 130.18
_cell_angle_gamma 90.00
_space_group_name_H-M_alt 'C 1 2/m 1'
_space_group_IT_number 12
_space_group_name_Hall '-C 2y'
loop_
_atom_site_label
_atom_site_fract_x
_atom_site_fract_y
_atom_site_fract_z
La1 0.0579 0.0000 0.3262
Ga1 0.1631 0.5000 0.1087
Ru1 0.1943 0.5000 0.7998
C1 0.0000 0.5000 0.5000
```

***

2.
Diffraction record for PaZn9Ag2. The XRD peak list is simulated, not measured: it uses a DFT-relaxed cell (PBE, Alexandria) and Cu Ka.

Principal peaks in the range 5° ≤ 2θ ≤ 70°, sorted by position:
Position (°2θ)	intensity	h k l
11.6	9	1 0 0
20.1	32	1 1 0
30.9	13	2 1 0
36.1	66	1 1 1
38.0	63	2 0 1
40.8	100	2 2 0
46.7	34	3 0 1
57.0	18	4 0 1
61.6	10	0 0 2
63.7	23	4 1 1

Atomic structure:
```
data_PaZn9Ag2
_cell_length_a 8.8363
_cell_length_b 8.8363
_cell_length_c 3.0090
_cell_angle_alpha 90.00
_cell_angle_beta 90.00
_cell_angle_gamma 120.00
_space_group_name_H-M_alt 'P 6/m m m'
_space_group_IT_number 191
_space_group_name_Hall '-P 6 2'
loop_
_atom_site_label
_atom_site_fract_x
_atom_site_fract_y
_atom_site_fract_z
Pa1 0.0000 0.0000 0.0000
Zn1 0.0000 0.5000 0.0000
Zn2 0.1793 0.3587 0.5000
Ag1 0.3333 0.6667 0.0000
```